Record 1
Structure and theoretical X-ray diffraction stick pattern of Al3Cr (a PBE-relaxed structure; Cu Kα (λ = 1.5418 Å)).

Peak list (12 most intense, 2θ = 15–90°, sorted by position)
Position (°2θ), d (Å), I_rel, (hkl)
22.0, 4.046, 5, 0 0 2
26.0, 3.426, 14, 1 0 1
33.5, 2.674, 3, 1 1 0
40.4, 2.231, 100, 1 1 2
41.1, 2.196, 4, 1 0 3
44.8, 2.023, 18, 0 0 4
48.1, 1.891, 29, 2 0 0
67.8, 1.381, 20, 2 0 4
70.4, 1.337, 9, 2 2 0
79.6, 1.204, 12, 1 1 6
84.5, 1.147, 21, 3 1 2
87.4, 1.115, 10, 2 2 4

abc: 3.7817 3.7817 8.0915
angles: 90.00 90.00 90.00
Space group I4/mmm (No. 139)
Symmetry-distinct sites (fractional):
Al: 0.0000 0.0000 0.0000 x2
Al: 0.0000 0.5000 0.2500 x4
Cr: 0.0000 0.0000 0.5000 x2

---

Record 2
Structure and theoretical X-ray diffraction stick pattern of AlCr4CuS8 (a PBE-relaxed structure; Cu Kα (λ = 1.5418 Å)).

Peak list (12 most intense, 2θ = 15–90°, sorted by position)
Position (°2θ), d (Å), I_rel, (hkl)
15.4, 5.762, 30, 1 1 1
25.2, 3.529, 26, 2 2 0
29.7, 3.009, 100, 3 1 1
36.0, 2.495, 70, 4 0 0
47.3, 1.921, 47, 5 1 1
51.8, 1.764, 99, 4 4 0
60.9, 1.522, 11, 5 3 3
64.7, 1.441, 13, 4 4 4
72.8, 1.299, 17, 5 5 3
76.3, 1.248, 14, 8 0 0
84.0, 1.152, 11, 5 5 5
87.4, 1.116, 16, 8 4 0

abc: 9.9807 9.9807 9.9807
angles: 90.00 90.00 90.00
Space group F-43m (No. 216)
Symmetry-distinct sites (fractional):
Al: 0.0000 0.0000 0.0000 x4
Cr: 0.1214 0.1214 0.3786 x16
Cu: 0.2500 0.2500 0.7500 x4
S: 0.1163 0.1163 0.6163 x16
S: 0.1329 0.1329 0.1329 x16

---

Record 3
Structure and theoretical X-ray diffraction stick pattern of Ti2Al2CrCuS8 (a PBE-relaxed structure; Cu Kα (λ = 1.5418 Å)).

Peak list (12 most intense, 2θ = 15–90°, sorted by position)
Position (°2θ), d (Å), I_rel, (hkl)
15.5, 5.734, 24, 1 1 0
24.9, 3.579, 36, 1 1 1
29.2, 3.062, 31, 1 1 -2
29.7, 3.012, 62, 3 1 -2
29.9, 2.988, 50, 4 0 -1
35.9, 2.502, 100, 4 0 0
46.7, 1.944, 19, 2 2 -3
50.9, 1.794, 28, 4 0 -4
51.1, 1.788, 53, 2 2 2
52.2, 1.751, 49, 6 2 -2
52.4, 1.746, 23, 0 4 0
76.1, 1.251, 21, 8 0 0

abc: 12.1465 6.9857 7.1771
angles: 90.00 124.51 90.00
Space group Cm (No. 8)
Symmetry-distinct sites (fractional):
Ti: 0.0000 0.2256 0.0000 x4
Al: 0.2641 0.5000 0.5163 x2
Al: 0.3915 0.0000 0.3932 x2
Cr: 0.2693 0.5000 0.0030 x2
Cu: 0.1333 0.0000 0.6248 x2
S: 0.0041 0.0000 0.2494 x2
S: 0.0040 0.0000 0.7564 x2
S: 0.0188 0.5000 0.2519 x2
S: 0.0214 0.5000 0.7811 x2
S: 0.2562 0.2661 0.2516 x4
S: 0.2625 0.2664 0.7581 x4

---

Record 4
Structure and theoretical X-ray diffraction stick pattern of AlCr4CuSe8 (a PBE-relaxed structure; Cu Kα (λ = 1.5418 Å)).

Peak list (12 most intense, 2θ = 15–90°, sorted by position)
Position (°2θ), d (Å), I_rel, (hkl)
23.8, 3.738, 9, 2 2 0
28.0, 3.187, 30, 3 1 1
29.3, 3.052, 57, 2 2 2
33.9, 2.643, 94, 4 0 0
44.5, 2.034, 27, 5 1 1
48.7, 1.869, 100, 4 4 0
57.9, 1.594, 23, 6 2 2
60.7, 1.526, 20, 4 4 4
68.1, 1.376, 7, 5 5 3
71.4, 1.321, 14, 8 0 0
79.0, 1.213, 9, 6 6 2
81.4, 1.182, 24, 8 4 0

abc: 10.5713 10.5713 10.5713
angles: 90.00 90.00 90.00
Space group F-43m (No. 216)
Symmetry-distinct sites (fractional):
Al: 0.0000 0.0000 0.0000 x4
Cr: 0.1211 0.1211 0.3789 x16
Cu: 0.2500 0.2500 0.7500 x4
Se: 0.1166 0.1166 0.6166 x16
Se: 0.1337 0.1337 0.1337 x16